Entry 1:
This entry pairs a crystal structure of La2Pr3Sn with its theoretical powder diffractogram. Radiation: a wavelength of 1.5418 Å. Structure: DFT lattice parameters and positions (PBE).
Peak positions follow from Bragg's law for the DFT cell and can differ from measured ones.

Largest 10 diffraction maxima, by angle, 2θ from 10° to 90°:
2theta, d_spacing, I/Imax
30.36, 2.944, 100.0
33.61, 2.666, 18.2
35.59, 2.523, 16.6
36.34, 2.472, 15.7
49.76, 1.832, 12.1
50.33, 1.813, 11.7
58.10, 1.588, 14.0
60.70, 1.526, 14.0
61.71, 1.503, 13.3
63.16, 1.472, 11.8

Structure:
```
data_La2Pr3Sn
_cell_length_a 8.3871
_cell_length_b 8.3871
_cell_length_c 4.9448
_cell_angle_alpha 90.00
_cell_angle_beta 90.00
_cell_angle_gamma 144.99
_space_group_name_H-M_alt 'P 1'
_space_group_IT_number 1
_space_group_name_Hall 'P 1'
loop_
_atom_site_label
_atom_site_type_symbol
_atom_site_fract_x
_atom_site_fract_y
_atom_site_fract_z
La1 La 0.1606 0.8394 0.0000
La2 La 0.8394 0.1606 0.0000
Pr1 Pr 0.0000 0.0000 0.5000
Pr2 Pr 0.3432 0.6568 0.5000
Pr3 Pr 0.6568 0.3432 0.5000
Sn1 Sn 0.5000 0.5000 0.0000
```



Entry 2:
This entry pairs a crystal structure of LaPr4Sn3 with its theoretical powder diffractogram. Radiation: a wavelength of 1.5418 Å. Structure: DFT lattice parameters and positions (PBE).
Peak positions follow from Bragg's law for the DFT cell and can differ from measured ones.

Largest 10 diffraction maxima, by angle, 2θ from 10° to 90°:
2theta, d_spacing, I/Imax
28.23, 3.161, 19.3
29.03, 3.076, 52.2
31.56, 2.835, 100.0
32.34, 2.768, 93.4
34.71, 2.585, 32.8
40.26, 2.240, 13.6
50.88, 1.794, 19.4
52.63, 1.739, 23.8
59.19, 1.561, 14.9
60.15, 1.538, 23.5

Structure:
```
data_LaPr4Sn3
_cell_length_a 9.5164
_cell_length_b 9.5164
_cell_length_c 9.5164
_cell_angle_alpha 96.34
_cell_angle_beta 96.34
_cell_angle_gamma 141.20
_space_group_name_H-M_alt 'P 1'
_space_group_IT_number 1
_space_group_name_Hall 'P 1'
loop_
_atom_site_label
_atom_site_type_symbol
_atom_site_fract_x
_atom_site_fract_y
_atom_site_fract_z
La1 La 0.2500 0.7500 0.5000
La2 La 0.7500 0.2500 0.5000
Pr1 Pr 0.0826 0.7835 0.8662
Pr2 Pr 0.2165 0.0826 0.2991
Pr3 Pr 0.2835 0.5826 0.8662
Pr4 Pr 0.4174 0.2835 0.7009
Pr5 Pr 0.5826 0.7165 0.2991
Pr6 Pr 0.7165 0.4174 0.1338
Pr7 Pr 0.7835 0.9174 0.7009
Pr8 Pr 0.9174 0.2165 0.1338
Sn1 Sn 0.1618 0.3382 0.5000
Sn2 Sn 0.2500 0.2500 0.0000
Sn3 Sn 0.3382 0.8382 0.1764
Sn4 Sn 0.6618 0.1618 0.8236
Sn5 Sn 0.7500 0.7500 0.0000
Sn6 Sn 0.8382 0.6618 0.5000
```



Entry 3:
This entry pairs a crystal structure of Sr2La5Pr4 with its theoretical powder diffractogram. Radiation: a wavelength of 1.5418 Å. Structure: DFT lattice parameters and positions (PBE).
Peak positions follow from Bragg's law for the DFT cell and can differ from measured ones.

Largest 10 diffraction maxima, by angle, 2θ from 10° to 90°:
2theta, d_spacing, I/Imax
28.65, 3.116, 100.0
28.82, 3.098, 98.7
33.06, 2.709, 33.1
33.33, 2.689, 35.0
33.51, 2.674, 33.4
47.73, 1.906, 35.8
56.39, 1.632, 20.1
56.60, 1.626, 20.9
56.88, 1.619, 21.5
57.17, 1.611, 14.0

Structure:
```
data_Sr2La5Pr4
_cell_length_a 6.6069
_cell_length_b 8.4386
_cell_length_c 8.5500
_cell_angle_alpha 107.09
_cell_angle_beta 105.11
_cell_angle_gamma 97.59
_space_group_name_H-M_alt 'P 1'
_space_group_IT_number 1
_space_group_name_Hall 'P 1'
loop_
_atom_site_label
_atom_site_type_symbol
_atom_site_fract_x
_atom_site_fract_y
_atom_site_fract_z
Sr1 Sr 0.1318 0.2313 0.0448
Sr2 Sr 0.8682 0.7687 0.9552
La1 La 0.2357 0.0455 0.4286
La2 La 0.4209 0.6911 0.1451
La3 La 0.5000 0.5000 0.5000
La4 La 0.5791 0.3089 0.8549
La5 La 0.7643 0.9545 0.5714
Pr1 Pr 0.0502 0.4058 0.6670
Pr2 Pr 0.3235 0.8570 0.7596
Pr3 Pr 0.6765 0.1430 0.2404
Pr4 Pr 0.9498 0.5942 0.3330
```



Please write out number 1 again, unchanged.
This entry pairs a crystal structure of La2Pr3Sn with its theoretical powder diffractogram. Radiation: a wavelength of 1.5418 Å. Structure: DFT lattice parameters and positions (PBE).
Peak positions follow from Bragg's law for the DFT cell and can differ from measured ones.

Largest 10 diffraction maxima, by angle, 2θ from 10° to 90°:
2theta, d_spacing, I/Imax
30.36, 2.944, 100.0
33.61, 2.666, 18.2
35.59, 2.523, 16.6
36.34, 2.472, 15.7
49.76, 1.832, 12.1
50.33, 1.813, 11.7
58.10, 1.588, 14.0
60.70, 1.526, 14.0
61.71, 1.503, 13.3
63.16, 1.472, 11.8

Structure:
```
data_La2Pr3Sn
_cell_length_a 8.3871
_cell_length_b 8.3871
_cell_length_c 4.9448
_cell_angle_alpha 90.00
_cell_angle_beta 90.00
_cell_angle_gamma 144.99
_space_group_name_H-M_alt 'P 1'
_space_group_IT_number 1
_space_group_name_Hall 'P 1'
loop_
_atom_site_label
_atom_site_type_symbol
_atom_site_fract_x
_atom_site_fract_y
_atom_site_fract_z
La1 La 0.1606 0.8394 0.0000
La2 La 0.8394 0.1606 0.0000
Pr1 Pr 0.0000 0.0000 0.5000
Pr2 Pr 0.3432 0.6568 0.5000
Pr3 Pr 0.6568 0.3432 0.5000
Sn1 Sn 0.5000 0.5000 0.0000
```



> What is the formula in the first record?

La2Pr3Sn



> What is the formula in the first record?

La2Pr3Sn